# 1
The following is a simulated XRD peak list of TbNdSc. It was derived from a crystal structure in Alexandria, relaxed with PBE, using Cu Ka.
No peak broadening, texture or thermal motion is included.

Cell and atoms:
a b c (Å): 3.4543 5.2797 10.1852
angles (deg): 90.00 99.74 90.00
Space group P2_1/m (No. 11)
Inequivalent atoms, fractional coordinates:
Tb  0.1075  0.2500  0.2162 (multiplicity 2)
Nd  0.2959  0.2500  0.5912 (multiplicity 2)
Sc  0.4618  0.2500  0.9225 (multiplicity 2)

Principal peaks in the range 5° ≤ 2θ ≤ 70°, most intense first:
Position (°2θ)	Rel. int.
31.26	100
31.66	77
34.24	62
49.00	45
33.96	39
24.47	38
59.94	24
63.08	21
59.09	16
8.81	15

# 2
The following is a simulated XRD peak list of TbNdSc. It was derived from a crystal structure in Alexandria, relaxed with PBE, using Cu Ka.
No peak broadening, texture or thermal motion is included.

Cell and atoms:
a b c (Å): 3.5325 3.5325 14.6457
angles (deg): 90.00 90.00 90.00
Space group I4mm (No. 107)
Inequivalent atoms, fractional coordinates:
Tb  0.0000  0.0000  0.0000 (multiplicity 2)
Nd  0.0000  0.0000  0.6786 (multiplicity 2)
Sc  0.0000  0.0000  0.3415 (multiplicity 2)

Principal peaks in the range 5° ≤ 2θ ≤ 70°, most intense first:
Position (°2θ)	Rel. int.
31.25	100
35.95	35
61.72	28
52.41	22
25.95	18
36.82	16
12.09	14
62.88	12
51.76	12
65.20	11

# 3
The following is a simulated XRD peak list of Tb5Nd2Sc2. It was derived from a crystal structure in Alexandria, relaxed with PBE, using Cu Ka.
No peak broadening, texture or thermal motion is included.

Cell and atoms:
a b c (Å): 14.9113 4.9645 7.9042
angles (deg): 90.00 108.34 90.00
Space group C2/m (No. 12)
Inequivalent atoms, fractional coordinates:
Tb  0.0000  0.0000  0.0000 (multiplicity 2)
Tb  0.1649  0.5000  0.0028 (multiplicity 4)
Tb  0.2198  0.0000  0.3344 (multiplicity 4)
Nd  0.1081  0.0000  0.6648 (multiplicity 4)
Sc  0.0561  0.5000  0.3365 (multiplicity 4)

Principal peaks in the range 5° ≤ 2θ ≤ 70°, most intense first:
Position (°2θ)	Rel. int.
31.11	100
36.17	33
51.88	23
35.91	17
61.57	14
61.95	14
61.88	14
64.88	12
52.07	12
18.94	5

# 4
The following is a simulated XRD peak list of Tb5Nd4Sc2. It was derived from a crystal structure in Alexandria, relaxed with PBE, using Cu Ka.
No peak broadening, texture or thermal motion is included.

Cell and atoms:
a b c (Å): 18.1175 5.0233 7.9290
angles (deg): 90.00 105.30 90.00
Space group C2/m (No. 12)
Inequivalent atoms, fractional coordinates:
Tb  0.0000  0.0000  0.0000 (multiplicity 2)
Tb  0.1352  0.5000  0.1861 (multiplicity 4)
Tb  0.2265  0.5000  0.6297 (multiplicity 4)
Nd  0.0439  0.5000  0.7219 (multiplicity 4)
Nd  0.1821  0.0000  0.9046 (multiplicity 4)
Sc  0.0900  0.0000  0.4531 (multiplicity 4)

Principal peaks in the range 5° ≤ 2θ ≤ 70°, most intense first:
Position (°2θ)	Rel. int.
30.85	100
35.77	51
61.22	35
51.46	18
51.51	18
61.30	7
64.22	6
64.32	6
11.57	3
22.48	3

# 5
The following is a simulated XRD peak list of Tb3Nd5Sc2. It was derived from a crystal structure in Alexandria, relaxed with PBE, using Cu Ka.
No peak broadening, texture or thermal motion is included.

Cell and atoms:
a b c (Å): 9.4053 9.4086 9.4245
angles (deg): 106.49 106.86 115.11
Space group P-1 (No. 2)
Inequivalent atoms, fractional coordinates:
Tb  0.0773  0.2285  0.0531 (multiplicity 2)
Tb  0.2761  0.8220  0.8481 (multiplicity 2)
Tb  0.3229  0.9728  0.5532 (multiplicity 2)
Nd  0.0211  0.0748  0.3448 (multiplicity 2)
Nd  0.1300  0.3800  0.7511 (multiplicity 2)
Nd  0.2292  0.6771  0.1548 (multiplicity 2)
Nd  0.3788  0.1274  0.2485 (multiplicity 2)
Nd  0.4740  0.4280  0.6527 (multiplicity 2)
Sc  0.1680  0.5233  0.4503 (multiplicity 2)
Sc  0.4258  0.2762  0.9490 (multiplicity 2)

Principal peaks in the range 5° ≤ 2θ ≤ 70°, most intense first:
Position (°2θ)	Rel. int.
30.70	100
30.82	97
35.71	65
60.99	41
51.27	35
35.58	33
61.20	27
51.31	24
60.89	14
19.72	13

# 6
The following is a simulated XRD peak list of Tb6Nd4Sc. It was derived from a crystal structure in Alexandria, relaxed with PBE, using Cu Ka.
No peak broadening, texture or thermal motion is included.

Cell and atoms:
a b c (Å): 5.7655 9.6460 25.7229
angles (deg): 90.00 90.00 90.00
Space group Cmcm (No. 63)
Inequivalent atoms, fractional coordinates:
Tb  0.0000  0.0000  0.0000 (multiplicity 4)
Tb  0.0000  0.0297  0.2500 (multiplicity 4)
Tb  0.0000  0.3029  0.6102 (multiplicity 8)
Tb  0.0000  0.3649  0.1845 (multiplicity 8)
Nd  0.0000  0.0389  0.1226 (multiplicity 8)
Nd  0.0000  0.3486  0.0464 (multiplicity 8)
Sc  0.0000  0.3055  0.7500 (multiplicity 4)

Principal peaks in the range 5° ≤ 2θ ≤ 70°, most intense first:
Position (°2θ)	Rel. int.
31.87	100
31.02	73
33.23	66
30.29	60
30.58	53
44.12	39
32.06	31
57.47	27
55.71	22
56.16	18

# 7
The following is a simulated XRD peak list of TbNd7Sc3. It was derived from a crystal structure in Alexandria, relaxed with PBE, using Cu Ka.
No peak broadening, texture or thermal motion is included.

Cell and atoms:
a b c (Å): 5.8547 10.7906 11.4141
angles (deg): 90.00 90.00 90.00
Space group Immm (No. 71)
Inequivalent atoms, fractional coordinates:
Tb  0.0000  0.0000  0.0000 (multiplicity 2)
Nd  0.0000  0.1880  0.2898 (multiplicity 8)
Nd  0.0000  0.3038  0.0000 (multiplicity 4)
Nd  0.0000  0.5000  0.5000 (multiplicity 2)
Sc  0.0000  0.0000  0.5000 (multiplicity 2)
Sc  0.0000  0.5000  0.2109 (multiplicity 4)

Principal peaks in the range 5° ≤ 2θ ≤ 70°, most intense first:
Position (°2θ)	Rel. int.
33.18	100
30.54	67
32.61	49
25.97	45
31.35	37
27.97	35
44.33	28
40.51	28
22.68	27
57.22	26

# 8
The following is a simulated XRD peak list of Tb2Nd8Sc3. It was derived from a crystal structure in Alexandria, relaxed with PBE, using Cu Ka.
No peak broadening, texture or thermal motion is included.

Cell and atoms:
a b c (Å): 15.0122 8.9317 6.6782
angles (deg): 90.00 99.80 90.00
Space group C2/m (No. 12)
Inequivalent atoms, fractional coordinates:
Tb  0.1956  0.0000  0.3007 (multiplicity 4)
Nd  0.0913  0.5000  0.9019 (multiplicity 4)
Nd  0.1109  0.3171  0.4340 (multiplicity 8)
Nd  0.1890  0.0000  0.8200 (multiplicity 4)
Sc  0.0000  0.0000  0.5000 (multiplicity 2)
Sc  0.0000  0.1610  0.0000 (multiplicity 4)

Principal peaks in the range 5° ≤ 2θ ≤ 70°, most intense first:
Position (°2θ)	Rel. int.
31.61	100
31.86	54
24.08	32
34.02	31
32.58	24
35.21	19
19.88	16
23.27	13
60.41	13
60.55	12

# 9
The following is a simulated XRD peak list of Tb3Nd7Sc. It was derived from a crystal structure in Alexandria, relaxed with PBE, using Cu Ka.
No peak broadening, texture or thermal motion is included.

Cell and atoms:
a b c (Å): 16.5103 6.4239 14.2634
angles (deg): 90.00 100.28 90.00
Space group Cc (No. 9)
Inequivalent atoms, fractional coordinates:
Tb  0.0000  0.1784  0.0000 (multiplicity 4)
Tb  0.1738  0.1861  0.1673 (multiplicity 4)
Tb  0.4111  0.1828  0.9144 (multiplicity 4)
Nd  0.0025  0.0029  0.2500 (multiplicity 4)
Nd  0.0909  0.3200  0.5882 (multiplicity 4)
Nd  0.1011  0.4957  0.8465 (multiplicity 4)
Nd  0.2004  0.0057  0.9439 (multiplicity 4)
Nd  0.3046  0.4940  0.5593 (multiplicity 4)
Nd  0.3250  0.3223  0.3298 (multiplicity 4)
Nd  0.4000  0.0025  0.6567 (multiplicity 4)
Sc  0.2496  0.2415  0.7505 (multiplicity 4)

Principal peaks in the range 5° ≤ 2θ ≤ 70°, most intense first:
Position (°2θ)	Rel. int.
31.78	100
30.55	81
30.38	70
30.84	68
48.32	37
30.73	36
32.51	31
36.24	24
26.45	21
58.53	21

# 10
The following is a simulated XRD peak list of Tb7Nd12Sc. It was derived from a crystal structure in Alexandria, relaxed with PBE, using Cu Ka.
No peak broadening, texture or thermal motion is included.

Cell and atoms:
a b c (Å): 15.1970 15.1970 10.2029
angles (deg): 90.00 90.00 120.00
Space group R-3 (No. 148, hexagonal axes)
Inequivalent atoms, fractional coordinates:
Tb  0.0000  0.0000  0.0000 (multiplicity 3)
Tb  0.0671  0.2416  0.4268 (multiplicity 18)
Nd  0.0432  0.1953  0.7510 (multiplicity 18)
Nd  0.0439  0.2501  0.0732 (multiplicity 18)
Sc  0.0000  0.0000  0.5000 (multiplicity 3)

Principal peaks in the range 5° ≤ 2θ ≤ 70°, most intense first:
Position (°2θ)	Rel. int.
31.14	100
33.33	48
28.76	42
35.42	36
30.10	21
63.59	19
50.98	19
55.40	15
28.50	13
59.59	11

# 11
The following is a simulated XRD peak list of TbNdScTl. It was derived from a crystal structure in Alexandria, relaxed with PBE, using Cu Ka.
No peak broadening, texture or thermal motion is included.

Cell and atoms:
a b c (Å): 4.7576 4.8039 4.8521
angles (deg): 90.00 90.00 90.00
Space group Pmmm (No. 47)
Inequivalent atoms, fractional coordinates:
Tb  0.0000  0.0000  0.0000 (multiplicity 1)
Nd  0.5000  0.5000  0.0000 (multiplicity 1)
Sc  0.0000  0.5000  0.5000 (multiplicity 1)
Tl  0.5000  0.0000  0.5000 (multiplicity 1)

Principal peaks in the range 5° ≤ 2θ ≤ 70°, most intense first:
Position (°2θ)	Rel. int.
32.28	100
37.06	17
37.44	17
37.82	16
63.80	14
64.31	14
64.82	13
67.54	12
53.70	12
53.99	12

# 12
The following is a simulated XRD peak list of Tb3NdTmSc. It was derived from a crystal structure in Alexandria, relaxed with PBE, using Cu Ka.
No peak broadening, texture or thermal motion is included.

Cell and atoms:
a b c (Å): 4.9637 14.9068 9.9988
angles (deg): 90.00 90.00 90.00
Space group Cmcm (No. 63)
Inequivalent atoms, fractional coordinates:
Tb  0.0000  0.1673  0.0003 (multiplicity 8)
Tb  0.0000  0.3306  0.2500 (multiplicity 4)
Nd  0.0000  0.0031  0.2500 (multiplicity 4)
Tm  0.0000  0.5000  0.0000 (multiplicity 4)
Sc  0.0000  0.3320  0.7500 (multiplicity 4)

Principal peaks in the range 5° ≤ 2θ ≤ 70°, most intense first:
Position (°2θ)	Rel. int.
31.12	100
36.17	34
61.93	28
51.90	24
35.93	17
61.60	14
64.90	12
52.09	12
20.85	4
14.82	3